Theoretical powder diffractogram of Li5Cr3P4O16 for Cu Kα (weighted mean of Kα1 and Kα2), from a GGA+U-relaxed structure.
No peak broadening, texture or thermal motion is included.

Most intense lines, 2θ = 5–70°, in order of rising 2θ:
| index | d [Å] | I (rel.) |
| --- | --- | --- |
| 0 1 0 | 7.255 | 100 |
| 0 0 2 | 4.010 | 77 |
| 1 1 -1 | 3.629 | 67 |
| 1 -2 1 | 3.448 | 74 |
| 0 1 2 | 3.083 | 59 |
| 1 1 1 | 3.006 | 45 |
| -1 2 1 | 2.871 | 35 |
| 1 2 -1 | 2.704 | 43 |
| 2 -1 0 | 2.509 | 59 |
| 1 -1 3 | 2.454 | 44 |

abc: 5.0270 8.0157 8.5578
angles: 109.57 90.48 105.02
Space group P1 (No. 1)
Symmetry-distinct sites (fractional):
Li1 0.0000 0.0000 0.0000
Li2 0.0440 0.1243 0.3968
Li3 0.4430 0.8698 0.3983
Li4 0.6088 0.0644 0.8003
Li5 0.6644 0.1992 0.2060
Cr1 0.2467 0.3508 0.8294
Cr2 0.3355 0.6071 0.6049
Cr3 0.8389 0.6129 0.1216
P1 0.2452 0.4073 0.2053
P2 0.4212 0.7991 0.0157
P3 0.7064 0.3104 0.5704
P4 0.9672 0.8982 0.6316
O1 0.0355 0.0807 0.7915
O2 0.0348 0.3752 0.6003
O3 0.0820 0.9324 0.4770
O4 0.0855 0.7642 0.6839
O5 0.0891 0.2180 0.2128
O6 0.0886 0.4376 0.0605
O7 0.1240 0.8077 0.0569
O8 0.2382 0.5700 0.3651
O9 0.4184 0.6302 0.8520
O10 0.5421 0.4018 0.1588
O11 0.5716 0.7723 0.1606
O12 0.5789 0.9801 0.9921
O13 0.5921 0.4541 0.5335
O14 0.5948 0.2727 0.7280
O15 0.6380 0.1328 0.4148
O16 0.6399 0.8366 0.6083